Entry 1:
Calculated powder X-ray diffraction pattern of CsTmSiTe4 for Cu Kα, from a PBE-relaxed structure.

Cell and atoms:
```
CsTmSiTe4
1.0
7.1067 0.0000 0.0000
0.0000 7.6616 0.0000
-3.4571 0.0000 9.8657
Cs Tm Si Te
2 2 2 8
Direct
0.2337 0.2500 0.0542 Cs
0.7663 0.7500 0.9458 Cs
0.2271 0.2500 0.5483 Tm
0.7729 0.7500 0.4517 Tm
0.2147 0.7500 0.3404 Si
0.7853 0.2500 0.6596 Si
0.0242 0.5070 0.6963 Te
0.0242 0.9930 0.6963 Te
0.4150 0.7500 0.1828 Te
0.4457 0.7500 0.5801 Te
0.5543 0.2500 0.4199 Te
0.5850 0.2500 0.8172 Te
0.9758 0.0070 0.3037 Te
0.9758 0.4930 0.3037 Te
```

Most intense lines, 15° ≤ 2θ ≤ 90°, low angle first:
2θ/deg	d (Å)	Rel. int.
17.6	5.045	23
23.2	3.831	23
25.7	3.464	28
26.8	3.328	100
28.3	3.157	58
29.2	3.056	32
29.5	3.025	42
29.8	2.995	43
35.6	2.523	22
42.1	2.146	21

---

Entry 2:
Calculated powder X-ray diffraction pattern of CsY2ZrSi for Cu Kα, from a PBE-relaxed structure.

Cell and atoms:
```
CsY2ZrSi
1.0
5.6294 0.0000 0.0000
0.0000 5.6294 0.0000
0.0000 0.0000 5.2708
Cs Y Zr Si
1 2 1 1
Direct
0.0000 0.0000 0.0000 Cs
0.0000 0.5000 0.5000 Y
0.5000 0.0000 0.5000 Y
0.5000 0.5000 0.0000 Zr
0.5000 0.5000 0.5000 Si
```

Most intense lines, 15° ≤ 2θ ≤ 90°, low angle first:
2θ/deg	d (Å)	Rel. int.
28.1	3.176	100
31.8	2.815	48
34.0	2.635	20
45.6	1.990	17
47.2	1.924	31
54.4	1.687	30
57.3	1.607	13
58.1	1.588	16
76.1	1.250	11
85.5	1.136	11

---

Entry 3:
Calculated powder X-ray diffraction pattern of CsZnSi for Cu Kα, from a PBE-relaxed structure.

Cell and atoms:
```
CsZnSi
1.0
4.2262 0.0000 0.0000
-2.1126 3.9528 0.0000
-2.0680 -1.3145 12.8192
Cs Zn Si
2 2 2
Direct
0.0000 0.0000 0.0000 Cs
0.4421 0.4670 0.4040 Cs
0.2462 0.8691 0.6134 Zn
0.5241 0.2597 0.7824 Zn
0.2025 0.6042 0.7951 Si
0.9464 0.2569 0.6267 Si
```

Most intense lines, 15° ≤ 2θ ≤ 90°, low angle first:
2θ/deg	d (Å)	Rel. int.
24.0	3.710	63
24.3	3.657	87
25.6	3.475	79
26.6	3.354	100
28.9	3.084	97
30.3	2.945	61
35.0	2.564	73
41.0	2.204	66
41.0	2.202	60
49.7	1.834	71

---

Entry 4:
Calculated powder X-ray diffraction pattern of Cs3Sm7Te12 for Cu Kα, from a PBE-relaxed structure.

Cell and atoms:
```
Cs3Sm7Te12
1.0
4.5353 0.0000 0.0000
0.0000 13.8850 0.0000
0.0000 0.0000 28.7954
Cs Sm Te
6 14 24
Direct
0.0000 0.0293 0.0000 Cs
0.0000 0.3011 0.6508 Cs
0.0000 0.4647 0.2610 Cs
0.5000 0.5353 0.7610 Cs
0.5000 0.6989 0.1508 Cs
0.5000 0.9707 0.5000 Cs
0.0000 0.1615 0.3393 Sm
0.0000 0.2556 0.1275 Sm
0.0000 0.3369 0.9146 Sm
0.0000 0.5325 0.5410 Sm
0.0000 0.6696 0.9442 Sm
0.0000 0.8337 0.3096 Sm
0.0000 0.9620 0.7108 Sm
0.5000 0.0380 0.2108 Sm
0.5000 0.1663 0.8096 Sm
0.5000 0.3304 0.4442 Sm
0.5000 0.4675 0.0410 Sm
0.5000 0.6631 0.4146 Sm
0.5000 0.7444 0.6275 Sm
0.5000 0.8385 0.8393 Sm
0.0000 0.0010 0.8236 Te
0.0000 0.1773 0.4479 Te
0.0000 0.1903 0.2311 Te
0.0000 0.3136 0.0228 Te
0.0000 0.3210 0.8043 Te
0.0000 0.4984 0.4289 Te
0.0000 0.5873 0.6463 Te
0.0000 0.6235 0.0496 Te
0.0000 0.6873 0.8371 Te
0.0000 0.8147 0.4169 Te
0.0000 0.8830 0.2039 Te
0.0000 0.8974 0.6083 Te
0.5000 0.1026 0.1083 Te
0.5000 0.1170 0.7039 Te
0.5000 0.1853 0.9169 Te
0.5000 0.3127 0.3371 Te
0.5000 0.3765 0.5496 Te
0.5000 0.4127 0.1463 Te
0.5000 0.5016 0.9289 Te
0.5000 0.6790 0.3043 Te
0.5000 0.6864 0.5228 Te
0.5000 0.8097 0.7311 Te
0.5000 0.8227 0.9479 Te
0.5000 0.9990 0.3236 Te
```

Most intense lines, 15° ≤ 2θ ≤ 90°, low angle first:
2θ/deg	d (Å)	Rel. int.
25.6	3.484	17
27.7	3.219	100
28.2	3.161	19
28.6	3.118	23
31.1	2.880	13
39.3	2.295	19
39.4	2.288	27
39.6	2.276	15
39.7	2.268	27
41.3	2.189	19

---

Entry 5:
Calculated powder X-ray diffraction pattern of Cs5Sn4 for Cu Kα, from a PBE-relaxed structure.

Cell and atoms:
```
Cs5Sn4
1.0
6.4517 -3.3130 0.0000
6.4517 3.3130 0.0000
-5.6540 0.0000 10.8258
Cs Sn
5 4
Direct
0.0000 0.0000 0.0000 Cs
0.2991 0.2991 0.4546 Cs
0.3934 0.3934 0.1574 Cs
0.6066 0.6066 0.8426 Cs
0.7009 0.7009 0.5454 Cs
0.0488 0.0488 0.6346 Sn
0.2839 0.2839 0.7955 Sn
0.7161 0.7161 0.2045 Sn
0.9512 0.9512 0.3654 Sn
```

Most intense lines, 15° ≤ 2θ ≤ 90°, low angle first:
2θ/deg	d (Å)	Rel. int.
20.7	4.301	15
25.3	3.517	51
25.9	3.434	82
26.9	3.309	100
28.4	3.146	21
35.0	2.563	15
44.7	2.027	15
46.3	1.962	14
46.9	1.935	16
50.9	1.794	15

---

Entry 6:
Calculated powder X-ray diffraction pattern of Cs3Sn7 for Cu Kα, from a PBE-relaxed structure.

Cell and atoms:
```
Cs3Sn7
1.0
3.3209 -7.4372 0.0000
3.3209 7.4372 0.0000
0.0000 0.0000 8.2587
Cs Sn
3 7
Direct
0.0000 0.0000 0.0000 Cs
0.1672 0.8328 0.5000 Cs
0.8328 0.1672 0.5000 Cs
0.0000 0.5000 0.0000 Sn
0.3932 0.6068 0.1898 Sn
0.3932 0.6068 0.8102 Sn
0.5000 0.0000 0.0000 Sn
0.5000 0.5000 0.5000 Sn
0.6068 0.3932 0.1898 Sn
0.6068 0.3932 0.8102 Sn
```

Most intense lines, 15° ≤ 2θ ≤ 90°, low angle first:
2θ/deg	d (Å)	Rel. int.
24.9	3.580	100
26.1	3.413	44
26.8	3.321	34
31.2	2.863	26
31.4	2.847	28
32.4	2.763	34
33.0	2.715	27
37.9	2.374	25
42.7	2.119	30
51.0	1.790	39

---

Entry 7:
Calculated powder X-ray diffraction pattern of CsSr2Sn9 for Cu Kα, from a PBE-relaxed structure.

Cell and atoms:
```
CsSr2Sn9
1.0
3.2830 1.8954 10.4834
-3.2830 1.8954 10.4834
0.0000 -3.7908 10.4834
Cs Sr Sn
1 2 9
Direct
0.0000 0.0000 0.0000 Cs
0.1406 0.1406 0.1406 Sr
0.8594 0.8594 0.8594 Sr
0.0700 0.5976 0.5976 Sn
0.3474 0.3474 0.3474 Sn
0.4024 0.4024 0.9300 Sn
0.4024 0.9300 0.4024 Sn
0.5000 0.5000 0.5000 Sn
0.5976 0.0700 0.5976 Sn
0.5976 0.5976 0.0700 Sn
0.6526 0.6526 0.6526 Sn
0.9300 0.4024 0.4024 Sn
```

Most intense lines, 15° ≤ 2θ ≤ 90°, low angle first:
2θ/deg	d (Å)	Rel. int.
27.2	3.283	24
27.6	3.234	35
31.6	2.832	29
32.2	2.782	100
33.5	2.674	21
34.2	2.621	22
34.6	2.591	36
51.3	1.782	28
56.0	1.641	32
59.6	1.552	19

---

Entry 8:
Calculated powder X-ray diffraction pattern of Cs2Sn2Te5 for Cu Kα, from a PBE-relaxed structure.

Cell and atoms:
```
Cs2Sn2Te5
1.0
13.1776 -4.6557 0.0000
13.1776 4.6557 0.0000
-1.7588 0.0000 6.8545
Cs Sn Te
4 4 10
Direct
0.2297 0.7703 0.5000 Cs
0.4873 0.9498 0.7034 Cs
0.7703 0.2297 0.0000 Cs
0.9498 0.4873 0.2034 Cs
0.2037 0.5013 0.7354 Sn
0.4008 0.8955 0.1299 Sn
0.5013 0.2037 0.2354 Sn
0.8955 0.4008 0.6299 Sn
0.1169 0.1192 0.8546 Te
0.1170 0.7453 0.9363 Te
0.1192 0.1169 0.3546 Te
0.2139 0.5014 0.3397 Te
0.5014 0.2139 0.8397 Te
0.5732 0.9485 0.2488 Te
0.6078 0.6114 0.3461 Te
0.6114 0.6078 0.8461 Te
0.7453 0.1170 0.4363 Te
0.9485 0.5732 0.7488 Te
```

Most intense lines, 15° ≤ 2θ ≤ 90°, low angle first:
2θ/deg	d (Å)	Rel. int.
19.1	4.656	34
19.8	4.477	34
23.7	3.761	62
25.2	3.537	38
26.0	3.424	59
26.5	3.369	28
28.0	3.191	32
31.8	2.817	100
32.5	2.758	38
39.3	2.290	32